# 1
The following is a calculated powder diffractogram of AcTcHgO5. It was derived from a DFT-relaxed cell (GGA-PBE, Alexandria), using a wavelength of 1.5418 Å.

Crystal structure
```
AcTcHgO5
1.0
4.2543 -5.6778 0.0000
4.2543 5.6778 0.0000
-4.1695 0.0000 7.9067
Ac Tc Hg O
2 2 2 10
Direct
0.0000 0.0000 0.0000
0.0000 0.0000 0.5000
0.3109 0.6891 0.7500
0.6891 0.3109 0.2500
0.3212 0.6788 0.2500
0.6788 0.3212 0.7500
0.0429 0.9571 0.2500
0.1651 0.7224 0.8771
0.2211 0.4193 0.6219
0.2776 0.8349 0.6229
0.4193 0.2211 0.1219
0.5807 0.7789 0.8781
0.7224 0.1651 0.3771
0.7789 0.5807 0.3781
0.8349 0.2776 0.1229
0.9571 0.0429 0.7500
```

Top 10 peaks for 10 to 90 degrees two-theta, low angle first:
2theta, intensity
14.1, 23
21.4, 81
23.6, 75
26.4, 100
27.5, 57
28.6, 44
31.1, 25
33.1, 23
43.3, 46
48.2, 21

=====

# 2
The following is a calculated powder diffractogram of ZnCd. It was derived from a DFT-relaxed cell (GGA-PBE, Alexandria), using a wavelength of 1.5418 Å.

Crystal structure
```
ZnCd
1.0
2.9594 0.0000 0.0000
-1.4797 2.5629 0.0000
0.0000 0.0000 10.7923
Zn Cd
2 2
Direct
0.3333 0.6667 0.0000
0.6667 0.3333 0.5000
0.3333 0.6667 0.7340
0.6667 0.3333 0.2340
```

Top 10 peaks for 10 to 90 degrees two-theta, low angle first:
2theta, intensity
16.4, 21
33.2, 56
35.0, 38
36.0, 100
43.3, 82
49.0, 27
55.7, 17
62.8, 26
71.4, 21
72.9, 31